# Hf3TaFe8
Simulated powder XRD pattern, copper Kα. Input: the GGA-PBE geometry in the Materials Project.
No peak broadening, texture or thermal motion is included.

Structural model:
```
data_Hf3TaFe8
_chemical_formula_sum 'Hf3 Ta1 Fe8'
_symmetry_space_group_name_H-M 'P 1'
_symmetry_Int_Tables_number 1
_symmetry_space_group_name_Hall 'P 1'
_cell_length_a 4.9264
_cell_length_b 4.9264
_cell_length_c 7.9965
_cell_angle_alpha 90.00
_cell_angle_beta 90.00
_cell_angle_gamma 120.00
loop_
_atom_site_label
_atom_site_fract_x
_atom_site_fract_y
_atom_site_fract_z
Hf1 0.0000 0.0000 0.0000
Hf2 0.0000 0.0000 0.3771
Hf3 0.3333 0.6667 0.8726
Ta1 0.3333 0.6667 0.5000
Fe1 0.0035 0.5018 0.1896
Fe2 0.3311 0.1655 0.6850
Fe3 0.4982 0.5018 0.1896
Fe4 0.4982 0.9965 0.1896
Fe5 0.6667 0.3333 0.4382
Fe6 0.6667 0.3333 0.9371
Fe7 0.8345 0.1655 0.6850
Fe8 0.8345 0.6689 0.6850
```

Top 6 peaks for 2θ = 15–90°, low angle first:
2θ (°)  d [Å]  I_rel
36.48  2.463  71
39.88  2.261  100
43.14  2.097  96
43.93  2.061  49
67.94  1.380  40
74.09  1.280  26

***

# Hf9FeW4
Simulated powder XRD pattern, copper Kα. Input: the GGA-PBE geometry in the Materials Project.
No peak broadening, texture or thermal motion is included.

Structural model:
```
data_Hf9FeW4
_chemical_formula_sum 'Hf18 Fe2 W8'
_symmetry_space_group_name_H-M 'P 1'
_symmetry_Int_Tables_number 1
_symmetry_space_group_name_Hall 'P 1'
_cell_length_a 8.7135
_cell_length_b 8.7135
_cell_length_c 8.4397
_cell_angle_alpha 90.00
_cell_angle_beta 90.00
_cell_angle_gamma 120.00
loop_
_atom_site_label
_atom_site_fract_x
_atom_site_fract_y
_atom_site_fract_z
Hf1 0.0800 0.5400 0.2500
Hf2 0.2011 0.4023 0.5591
Hf3 0.2011 0.4023 0.9409
Hf4 0.2011 0.7989 0.5591
Hf5 0.2011 0.7989 0.9409
Hf6 0.4023 0.2011 0.0591
Hf7 0.4023 0.2011 0.4409
Hf8 0.4600 0.5400 0.2500
Hf9 0.4600 0.9200 0.2500
Hf10 0.5400 0.0800 0.7500
Hf11 0.5400 0.4600 0.7500
Hf12 0.5977 0.7989 0.5591
Hf13 0.5977 0.7989 0.9409
Hf14 0.7989 0.2011 0.0591
Hf15 0.7989 0.2011 0.4409
Hf16 0.7989 0.5977 0.0591
Hf17 0.7989 0.5977 0.4409
Hf18 0.9200 0.4600 0.7500
Fe1 0.3333 0.6667 0.7500
Fe2 0.6667 0.3333 0.2500
W1 0.0000 0.0000 0.0000
W2 0.0000 0.0000 0.5000
W3 0.1123 0.2246 0.2500
W4 0.1123 0.8877 0.2500
W5 0.2246 0.1123 0.7500
W6 0.7754 0.8877 0.2500
W7 0.8877 0.1123 0.7500
W8 0.8877 0.7754 0.7500
```

Top 6 peaks for 2θ = 15–90°, low angle first:
2θ (°)  d [Å]  I_rel
34.01  2.636  26
37.30  2.411  77
38.08  2.363  100
39.98  2.255  46
63.05  1.474  27
66.74  1.402  27

***

# HfZrFe2
Simulated powder XRD pattern, copper Kα. Input: the GGA-PBE geometry in the Materials Project.
No peak broadening, texture or thermal motion is included.

Structural model:
```
data_HfZrFe2
_chemical_formula_sum 'Hf1 Zr1 Fe2'
_symmetry_space_group_name_H-M 'P 1'
_symmetry_Int_Tables_number 1
_symmetry_space_group_name_Hall 'P 1'
_cell_length_a 4.4767
_cell_length_b 4.4767
_cell_length_c 4.4767
_cell_angle_alpha 60.00
_cell_angle_beta 60.00
_cell_angle_gamma 60.00
loop_
_atom_site_label
_atom_site_fract_x
_atom_site_fract_y
_atom_site_fract_z
Hf1 0.0000 0.0000 0.0000
Zr1 0.5000 0.5000 0.5000
Fe1 0.2500 0.2500 0.2500
Fe2 0.7500 0.7500 0.7500
```

Top 6 peaks for 2θ = 15–90°, low angle first:
2θ (°)  d [Å]  I_rel
24.35  3.655  11
28.19  3.165  19
40.29  2.238  100
58.30  1.583  16
73.25  1.292  33
87.08  1.119  10